Diffraction record for RbAsH2IrSe. The powder diffraction line list is computed, not measured: it uses a crystal structure in Alexandria, relaxed with GGA-PBE and λ = 1.5418 Å (Cu Kα).
Neutral-atom scattering factors, no anomalous dispersion.

Structure:
Cell lengths 4.888, 3.913, 6.950 Å; angles 90.00, 107.69, 90.00 degrees
Space group Pm (No. 6)
Symmetry-distinct sites (fractional):
Rb1 0.000 0.000 0.000
As1 0.668 0.000 0.411
H1 0.050 0.500 0.272
H2 0.928 0.500 0.721
Ir1 0.971 0.500 0.492
Se1 0.330 0.000 0.615

Main lines, low angle first (2θ = 10–80°):
- 2θ = 13.4°, intensity 100, (0 0 1)
- 2θ = 19.1°, intensity 35, (1 0 0)
- 2θ = 26.9°, intensity 38, (0 0 2)
- 2θ = 27.9°, intensity 50, (1 0 -2)
- 2θ = 30.2°, intensity 36, (1 1 -1)
- 2θ = 35.2°, intensity 65, (1 1 1)
- 2θ = 43.7°, intensity 35, (2 1 -1)
- 2θ = 46.4°, intensity 27, (0 2 0)

---

Diffraction record for AgGeS. The powder diffraction line list is computed, not measured: it uses a crystal structure in Alexandria, relaxed with GGA-PBE and λ = 1.5418 Å (Cu Kα).
Neutral-atom scattering factors, no anomalous dispersion.

Structure:
Cell lengths 3.469, 8.050, 9.093 Å; angles 90.00, 90.00, 90.00 degrees
Space group P2_12_12_1 (No. 19)
Symmetry-distinct sites (fractional):
Ag1 0.041 0.011 0.489
Ge1 0.031 0.733 0.642
S1 0.029 0.764 0.177

Main lines, low angle first (2θ = 10–80°):
- 2θ = 19.5°, intensity 18, (0 0 2)
- 2θ = 29.7°, intensity 100, (0 2 2)
- 2θ = 34.4°, intensity 33, (1 1 2)
- 2θ = 41.1°, intensity 26, (1 1 3)
- 2θ = 43.8°, intensity 25, (1 3 1)
- 2θ = 45.1°, intensity 16, (0 4 0)
- 2θ = 45.8°, intensity 23, (0 2 4)
- 2θ = 47.3°, intensity 11, (1 3 2)